Starting from a crystal structure in Alexandria, relaxed with PBE, the X-ray powder pattern of KTi5Se8 was calculated for Cu Kα.

Crystal structure
```
data_KTi5Se8
_chemical_formula_sum 'K1 Ti5 Se8'
_space_group_name_H-M_alt 'P 1'
_space_group_IT_number 1
_cell_length_a 9.628
_cell_length_b 9.628
_cell_length_c 9.207
_cell_angle_alpha 104.43
_cell_angle_beta 104.43
_cell_angle_gamma 21.54
loop_
_space_group_symop_operation_xyz
'x,y,z'
loop_
_atom_site_label
_atom_site_type_symbol
_atom_site_fract_x
_atom_site_fract_y
_atom_site_fract_z
K1 K 0.000 0.000 0.000
Ti1 Ti 0.154 0.154 0.499
Ti2 Ti 0.209 0.209 0.848
Ti3 Ti 0.500 0.500 0.500
Ti4 Ti 0.791 0.791 0.152
Ti5 Ti 0.846 0.846 0.501
Se1 Se 0.073 0.073 0.677
Se2 Se 0.257 0.257 0.337
Se3 Se 0.339 0.339 0.002
Se4 Se 0.414 0.414 0.680
Se5 Se 0.586 0.586 0.320
Se6 Se 0.661 0.661 0.998
Se7 Se 0.743 0.743 0.663
Se8 Se 0.927 0.927 0.323
```

Peak list (10 most intense, 15 to 90 degrees two-theta, in order of rising 2θ)
| 2θ/deg | I (rel.) |
| --- | --- |
| 30.1 | 27 |
| 31.1 | 47 |
| 31.8 | 100 |
| 33.0 | 55 |
| 33.4 | 23 |
| 37.4 | 25 |
| 39.2 | 41 |
| 39.8 | 22 |
| 50.3 | 50 |
| 50.8 | 26 |